Starting from a cell relaxed with PBE, the powder XRD pattern of Li6GaGe2 was calculated for Cu Kα.
Peak positions follow from Bragg's law for the DFT cell and can differ from measured ones.

Cell and atoms:
Cell: 9.045 9.045 9.045 Å, 28.90 28.90 28.90°
Positions (direct):
Li (0.086, 0.086, 0.086)
Li (0.207, 0.207, 0.207)
Li (0.307, 0.307, 0.307)
Li (0.693, 0.693, 0.693)
Li (0.793, 0.793, 0.793)
Li (0.914, 0.914, 0.914)
Ga (0.500, 0.500, 0.500)
Ge (0.407, 0.407, 0.407)
Ge (0.593, 0.593, 0.593)

Principal peaks in the range 2θ = 5–70°, in order of falling intensity:
Position (°2θ)  d_spacing  I/Imax
23.01  3.866  100
39.95  2.257  42
41.73  2.164  38
23.77  3.743  37
59.13  1.562  24
44.83  2.022  23
51.38  1.778  15
46.60  1.949  15
63.01  1.475  12
10.21  8.662  11
30.97  2.887  9
61.58  1.506  9

***

Starting from a cell relaxed with PBE, the powder XRD pattern of AlSiPbAu2 was calculated for Cu Kα.
Peak positions follow from Bragg's law for the DFT cell and can differ from measured ones.

Cell and atoms:
Cell: 4.946 4.946 4.829 Å, 90.00 90.00 90.00°
Positions (direct):
Al (0.000, 0.000, 0.000)
Si (0.000, 0.000, 0.500)
Pb (0.500, 0.500, 0.500)
Au (0.000, 0.500, 0.000)
Au (0.500, 0.000, 0.000)

Principal peaks in the range 2θ = 5–70°, in order of falling intensity:
Position (°2θ)  d_spacing  I/Imax
31.59  2.832  100
36.33  2.473  41
62.42  1.488  29
53.01  1.728  28
37.24  2.414  19
25.79  3.455  19
65.96  1.416  15
52.32  1.749  15
63.64  1.462  14
17.94  4.946  11
18.37  4.829  9
45.09  2.011  9

***

Starting from a cell relaxed with PBE, the powder XRD pattern of KZrGeBiO6 was calculated for Cu Kα.
Peak positions follow from Bragg's law for the DFT cell and can differ from measured ones.

Cell and atoms:
Cell: 5.650 5.650 5.650 Å, 60.00 60.00 60.00°
Positions (direct):
K (0.000, 0.000, 0.000)
Zr (0.250, 0.250, 0.250)
Ge (0.750, 0.750, 0.750)
Bi (0.500, 0.500, 0.500)
O (0.512, 0.512, 0.988)
O (0.512, 0.988, 0.512)
O (0.512, 0.988, 0.988)
O (0.988, 0.512, 0.512)
O (0.988, 0.512, 0.988)
O (0.988, 0.988, 0.512)

Principal peaks in the range 2θ = 5–70°, in order of falling intensity:
Position (°2θ)  d_spacing  I/Imax
31.68  2.825  100
19.24  4.613  40
56.42  1.631  39
45.41  1.997  32
37.33  2.409  25
66.16  1.412  19
49.74  1.833  12
60.18  1.538  9
69.62  1.350  9
39.05  2.306  8
22.25  3.995  1
51.13  1.787  1

***

Starting from a cell relaxed with PBE, the powder XRD pattern of MgAu2F12 was calculated for Cu Kα.
Peak positions follow from Bragg's law for the DFT cell and can differ from measured ones.

Cell and atoms:
Cell: 6.056 6.056 6.744 Å, 90.00 90.00 90.00°
Positions (direct):
Mg (0.000, 0.000, 0.000)
Au (0.000, 0.500, 0.209)
Au (0.500, 0.000, 0.791)
F (0.000, 0.500, 0.496)
F (0.000, 0.500, 0.920)
F (0.200, 0.245, 0.197)
F (0.200, 0.755, 0.197)
F (0.245, 0.200, 0.803)
F (0.245, 0.800, 0.803)
F (0.500, 0.000, 0.080)
F (0.500, 0.000, 0.504)
F (0.755, 0.200, 0.803)
F (0.755, 0.800, 0.803)
F (0.800, 0.245, 0.197)
F (0.800, 0.755, 0.197)

Principal peaks in the range 2θ = 5–70°, in order of falling intensity:
Position (°2θ)  d_spacing  I/Imax
19.70  4.506  100
20.74  4.282  61
35.73  2.513  37
42.21  2.141  19
33.84  2.649  17
29.50  3.028  16
42.89  2.109  15
56.46  1.630  15
47.47  1.915  14
13.13  6.744  13
26.43  3.372  12
52.93  1.730  11

***

Starting from a cell relaxed with PBE, the powder XRD pattern of Pr8Tl2Ag was calculated for Cu Kα.
Peak positions follow from Bragg's law for the DFT cell and can differ from measured ones.

Cell and atoms:
Cell: 9.755 9.755 7.010 Å, 93.46 93.46 32.71°
Positions (direct):
Pr (0.030, 0.030, 0.264)
Pr (0.210, 0.210, 0.102)
Pr (0.332, 0.332, 0.591)
Pr (0.409, 0.409, 0.088)
Pr (0.591, 0.591, 0.912)
Pr (0.668, 0.668, 0.409)
Pr (0.790, 0.790, 0.898)
Pr (0.970, 0.970, 0.736)
Tl (0.155, 0.155, 0.654)
Tl (0.845, 0.845, 0.346)
Ag (0.500, 0.500, 0.500)

Principal peaks in the range 2θ = 5–70°, in order of falling intensity:
Position (°2θ)  d_spacing  I/Imax
30.97  2.887  100
32.59  2.747  26
32.19  2.781  21
57.15  1.612  17
46.47  1.954  15
42.21  2.141  7
28.90  3.090  7
54.32  1.689  7
56.55  1.627  6
37.83  2.378  5
28.67  3.114  5
64.46  1.446  4

***

Starting from a cell relaxed with PBE, the powder XRD pattern of La3Pr3Cu4 was calculated for Cu Kα.
Peak positions follow from Bragg's law for the DFT cell and can differ from measured ones.

Cell and atoms:
Cell: 3.869 8.309 8.309 Å, 90.32 90.00 90.00°
Positions (direct):
La (0.000, 0.000, 0.000)
La (0.000, 0.501, 0.832)
La (0.000, 0.832, 0.501)
Pr (0.000, 0.331, 0.331)
Pr (0.500, 0.169, 0.662)
Pr (0.500, 0.662, 0.169)
Cu (0.500, 0.048, 0.284)
Cu (0.500, 0.284, 0.048)
Cu (0.500, 0.546, 0.546)
Cu (0.500, 0.784, 0.784)

Principal peaks in the range 2θ = 5–70°, in order of falling intensity:
Position (°2θ)  d_spacing  I/Imax
33.44  2.680  100
31.60  2.831  53
34.07  2.632  31
34.18  2.623  30
59.32  1.558  24
27.61  3.231  17
46.97  1.934  16
52.24  1.751  10
52.49  1.743  10
23.89  3.724  8
24.00  3.707  8
30.34  2.946  8

***

Starting from a cell relaxed with PBE, the powder XRD pattern of La5Pm4Tl2 was calculated for Cu Kα.
Peak positions follow from Bragg's law for the DFT cell and can differ from measured ones.

Cell and atoms:
Cell: 12.257 12.257 12.257 Å, 162.87 132.21 51.13°
Positions (direct):
La (0.000, 0.000, 0.000)
La (0.054, 0.344, 0.710)
La (0.366, 0.656, 0.710)
La (0.634, 0.344, 0.290)
La (0.946, 0.656, 0.290)
Pm (0.287, 0.500, 0.787)
Pm (0.413, 0.913, 0.500)
Pm (0.587, 0.087, 0.500)
Pm (0.713, 0.500, 0.213)
Tl (0.272, 0.772, 0.500)
Tl (0.728, 0.228, 0.500)

Principal peaks in the range 2θ = 5–70°, in order of falling intensity:
Position (°2θ)  d_spacing  I/Imax
30.66  2.916  100
29.62  3.016  74
30.20  2.959  68
37.65  2.389  42
27.25  3.273  40
53.18  1.722  32
26.00  3.427  31
63.14  1.473  28
36.18  2.482  28
35.78  2.510  28
44.37  2.042  28
59.16  1.562  21